Starting from DFT lattice parameters and positions (PBE), the X-ray diffraction stick pattern of Tb3Pr4Sc2 was calculated for Cu Kα.
Kinematic intensities with the Lorentz-polarization factor, no thermal factor.

Cell and atoms:
```
data_Tb3Pr4Sc2
_chemical_formula_sum 'Tb3 Pr4 Sc2'
_symmetry_space_group_name_H-M 'P 3 m 1'
_symmetry_Int_Tables_number 156
_cell_length_a 3.5729
_cell_length_b 3.5729
_cell_length_c 26.4496
_cell_angle_alpha 90.00
_cell_angle_beta 90.00
_cell_angle_gamma 120.00
loop_
_symmetry_equiv_pos_as_xyz
'x,y,z'
'-y,x-y,z'
'-x+y,-x,z'
'-y,-x,z'
'-x+y,y,z'
'x,x-y,z'
loop_
_atom_site_label
_atom_site_type_symbol
_atom_site_fract_x
_atom_site_fract_y
_atom_site_fract_z
_atom_site_occupancy
Tb1 Tb 0.0000 0.0000 0.0000 1
Tb2 Tb 0.0000 0.0000 0.3345 1
Tb3 Tb 0.6667 0.3333 0.6800 1
Pr1 Pr 0.0000 0.0000 0.5683 1
Pr2 Pr 0.0000 0.0000 0.7943 1
Pr3 Pr 0.6667 0.3333 0.2242 1
Pr4 Pr 0.6667 0.3333 0.4481 1
Sc1 Sc 0.6667 0.3333 0.0996 1
Sc2 Sc 0.6667 0.3333 0.8990 1
```

Main lines, by intensity (10 to 90 degrees two-theta):
| two_theta | d_spacing | Rel. int. |
| --- | --- | --- |
| 31.9 | 2.803 | 100 |
| 33.6 | 2.671 | 79 |
| 28.9 | 3.094 | 45 |
| 30.4 | 2.939 | 44 |
| 60.7 | 1.527 | 37 |
| 51.1 | 1.786 | 36 |
| 42.4 | 2.131 | 27 |
| 53.9 | 1.700 | 22 |
| 61.6 | 1.506 | 15 |
| 62.6 | 1.485 | 13 |